Computed X-ray diffraction stick pattern
Compound: LiB4Rh8
Radiation: Cu Kα, 1.54184 Å
Structure: a cell relaxed with GGA-PBE
Lines closer than 0.1° are merged.

Structural model:
Lattice parameters (Å, degrees): 6.8602 6.8602 11.3157 90.00 90.00 120.00
Space group R-3m (No. 166, hexagonal axes)
Inequivalent atoms, fractional coordinates:
Li 0.0000 0.0000 0.0000 [3 per cell]
B 0.0000 0.0000 0.5000 [3 per cell]
B 0.0000 0.5000 0.5000 [9 per cell]
Rh 0.0000 0.0000 0.2281 [6 per cell]
Rh 0.0319 0.5159 0.2579 [18 per cell]

Principal peaks in the range 15° ≤ 2θ ≤ 90°, most intense first:
Position (°2θ)  I_rel  h k l
34.1  100.0  2 0 2
44.2  52.8  0 2 4
53.4  29.4  2 2 0
74.8  13.7  2 2 6
64.9  12.4  0 4 2
48.3  10.6  0 0 6
71.8  10.1  4 0 4
88.9  8.8  4 2 2
41.0  8.6  2 1 1
74.3  7.9  2 0 8